Entry 1:
Calculated PXRD pattern
Compound: Li2BiP5O15
Radiation: λ = 1.5418 Å (Cu Kα)
Structure: the GGA-PBE geometry in the Materials Project

Atomic structure:
```
46
Lattice="3.8713 -5.9766 0.0000 3.8713 5.9766 0.0000 -0.8097 0.0000 13.3834" Properties=species:S:1:pos:R:3 pbc="T T T"
Li 3.4665 5.7308 6.6917
Li 1.4533 2.4091 4.9857
Li 1.0485 -2.4091 11.6774
Li 3.8713 -5.7308 0.0000
Bi 5.4255 1.3685 4.4930
Bi 5.0207 -1.3685 11.1847
P 3.1444 3.6032 1.2338
P 4.2839 4.7675 3.7150
P 2.9565 1.5527 9.9910
P 2.7277 0.7811 7.1166
P 3.1325 -0.7810 0.4248
P 5.2569 1.4672 0.9043
P 3.3613 -1.5527 3.2993
P 2.7396 -3.6032 7.9255
P 4.8521 -1.4673 7.5961
P 3.8791 -4.7675 10.4067
O 3.6232 5.8896 4.4748
O 2.2090 2.7024 1.9230
O 3.7482 4.7725 2.2127
O 1.3297 0.3076 6.9860
O 1.5575 0.7822 10.2760
O 3.0323 2.8752 10.7326
O 1.7346 -0.3076 0.2943
O 2.8949 1.7918 8.3976
O 4.2038 3.3617 4.2613
O 3.2616 1.4921 5.8917
O 1.9623 -0.7822 3.5843
O 4.4991 2.8664 0.7072
O 4.0630 0.4223 0.8803
O 1.8042 -2.7024 8.6148
O 4.0388 0.5771 10.3419
O 3.6582 -0.4223 7.5720
O 3.2997 -1.7918 1.7059
O 2.8568 -1.4921 12.5834
O 4.4436 -0.5771 3.6502
O 5.9036 1.4124 2.2632
O 5.3557 1.3378 13.1101
O 3.4371 -2.8752 4.0408
O 6.2352 1.5234 6.7212
O 4.0943 -2.8664 7.3990
O 3.7989 -3.3617 10.9530
O 5.4988 -1.4124 8.9550
O 3.3434 -4.7725 8.9045
O 5.7605 -1.3378 6.4184
O 6.6401 -1.5234 0.0294
O 3.2184 -5.8896 11.1665
```

Principal peaks in the range 10° ≤ 2θ ≤ 90°, in order of rising 2θ:
- 2θ = 13.64°, d 6.490, I = 84
- 2θ = 14.86°, d 5.960, I = 100
- 2θ = 15.47°, d 5.727, I = 43
- 2θ = 16.24°, d 5.457, I = 51
- 2θ = 24.78°, d 3.592, I = 54
- 2θ = 24.91°, d 3.575, I = 33
- 2θ = 25.88°, d 3.442, I = 41
- 2θ = 26.21°, d 3.400, I = 55
- 2θ = 26.64°, d 3.346, I = 38
- 2θ = 27.96°, d 3.191, I = 75



Entry 2:
Calculated PXRD pattern
Compound: LiBiP2O7
Radiation: λ = 1.5418 Å (Cu Kα)
Structure: the GGA-PBE geometry in the Materials Project

Atomic structure:
```
44
Lattice="8.9094 0.0000 0.0000 0.0000 5.6145 0.0000 -7.1081 0.0000 12.1915" Properties=species:S:1:pos:R:3 pbc="T T T"
Li 2.1123 1.2222 0.1349
Li -1.4417 1.5851 6.2307
Li 3.2431 4.0294 5.9608
Li -0.3110 4.3923 12.0566
Bi -1.6492 1.1104 10.1729
Bi 1.9048 1.6969 4.0771
Bi -0.1035 3.9176 8.1144
Bi 3.4505 4.5041 2.0186
P 0.4275 4.2023 1.9163
P -3.1266 4.2194 8.0121
P -3.4093 3.9373 10.8532
P 0.1447 4.4844 4.7574
P 1.6567 1.1301 7.4341
P 5.2107 1.6772 1.3383
P 4.9279 1.3951 4.1794
P 1.3739 1.4122 10.2752
O -3.0103 1.3759 5.2910
O -6.5643 1.4313 11.3867
O -0.4462 4.0541 3.3095
O -4.0002 4.3676 9.4052
O -2.2344 2.9294 8.1584
O 1.3196 5.4923 2.0627
O 1.4892 3.0304 1.9486
O -2.0648 5.3913 8.0443
O -0.6705 3.7268 5.8145
O -4.2246 4.6949 11.9103
O 0.0467 0.3900 4.9060
O -3.5073 2.4172 11.0018
O 1.6188 3.9829 4.7015
O -1.9352 4.4388 10.7972
O 3.7366 1.1757 1.3943
O 0.1825 1.6315 7.4900
O 5.3087 3.1972 1.1897
O 1.7546 5.2245 7.2855
O 6.0259 0.9196 0.2812
O 2.4719 1.8877 6.3769
O 3.8662 0.2232 4.1472
O 0.3121 2.5841 10.2429
O 0.4817 0.1222 10.1288
O 4.0358 2.6850 4.0331
O 5.8016 1.2469 2.7863
O 2.2475 1.5603 8.8820
O 8.3656 4.1831 0.8048
O 4.8116 4.2386 6.9005
```

Principal peaks in the range 10° ≤ 2θ ≤ 90°, in order of rising 2θ:
- 2θ = 11.50°, d 7.697, I = 100
- 2θ = 14.53°, d 6.096, I = 12
- 2θ = 20.65°, d 4.302, I = 13
- 2θ = 21.52°, d 4.130, I = 30
- 2θ = 25.70°, d 3.467, I = 33
- 2θ = 30.08°, d 2.971, I = 18
- 2θ = 31.88°, d 2.807, I = 12
- 2θ = 33.46°, d 2.678, I = 16
- 2θ = 34.28°, d 2.616, I = 15
- 2θ = 39.76°, d 2.267, I = 11



Entry 3:
Calculated PXRD pattern
Compound: Li3Bi3P4O16
Radiation: λ = 1.5418 Å (Cu Kα)
Structure: the GGA-PBE geometry in the Materials Project

Atomic structure:
```
52
Lattice="9.1806 0.0000 0.0000 0.0000 5.4216 0.0000 -8.5521 0.0000 14.8325" Properties=species:S:1:pos:R:3 pbc="T T T"
Li 0.0000 0.0000 0.0000
Li -4.2760 2.7108 7.4162
Li -1.3699 0.4110 4.2419
Li -5.6459 2.2998 11.6581
Li 6.2745 3.1218 3.1744
Li 1.9984 5.0106 10.5906
Bi -1.7106 2.9215 9.3909
Bi 2.5654 5.2109 1.9747
Bi 0.3143 0.0000 7.4162
Bi 4.5903 2.7108 0.0000
Bi -1.9368 0.2107 12.8578
Bi 2.3392 2.5001 5.4416
P -1.2312 2.9214 5.7937
P -5.5073 5.2110 13.2099
P -3.0007 0.1816 9.4263
P 1.2753 2.5292 2.0100
P -0.6468 2.8924 12.8225
P 3.6293 5.2400 5.4062
P 6.1358 0.2106 1.6226
P 1.8598 2.5002 9.0388
O -6.1575 0.3984 11.9774
O -1.8815 2.3124 4.5612
O -3.7136 1.1463 8.5205
O 0.5624 1.5645 1.1043
O -2.1478 2.9483 7.0418
O -6.4238 5.1841 14.4580
O 0.6787 3.9526 2.2171
O -3.5973 4.1798 9.6333
O -4.9543 3.7646 12.9277
O -0.6783 4.3678 5.5115
O -2.7535 0.9429 10.7886
O 1.5225 1.7679 3.3724
O -4.2343 0.6963 13.5712
O 0.0418 2.0145 6.1550
O 2.7553 2.8901 1.4785
O -1.5208 5.2422 8.8948
O 2.1493 0.1793 5.9377
O -2.1267 2.5314 13.3540
O 0.5868 3.4071 8.6775
O 4.8628 4.7253 1.2613
O -0.8940 3.6537 11.4601
O 3.3821 4.4786 4.0439
O 1.3069 1.0538 9.3210
O 5.5829 1.6570 1.9048
O 4.2259 1.2418 5.1991
O -0.0502 1.4690 12.6154
O 7.0524 0.2375 0.3745
O 2.7763 2.4733 7.7907
O 0.0661 3.8571 13.7282
O 4.3422 4.2753 6.3120
O 2.5101 3.1092 10.2713
O 6.7861 5.0232 2.8551
```

Principal peaks in the range 10° ≤ 2θ ≤ 90°, in order of rising 2θ:
- 2θ = 11.12°, d 7.953, I = 100
- 2θ = 20.04°, d 4.431, I = 18
- 2θ = 22.73°, d 3.912, I = 28
- 2θ = 24.36°, d 3.653, I = 25
- 2θ = 25.96°, d 3.433, I = 16
- 2θ = 26.34°, d 3.383, I = 34
- 2θ = 30.46°, d 2.934, I = 13
- 2θ = 33.04°, d 2.711, I = 12
- 2θ = 34.97°, d 2.566, I = 12
- 2θ = 35.39°, d 2.536, I = 13